Entry 1:
Diffraction record for RbAg4As12. The powder XRD pattern is simulated, not measured: it uses DFT lattice parameters and positions (PBE) and Cu Kα, 1.54184 Å.

Lattice parameters (Å, degrees): 7.971 7.971 7.971 109.47 109.47 109.47
Fractional coordinates of all 17 atoms:
Rb: 0.000 0.000 0.000
Ag: 0.000 0.000 0.500
Ag: 0.000 0.500 0.000
Ag: 0.500 0.000 0.000
Ag: 0.500 0.500 0.500
As: 0.137 0.366 0.503
As: 0.137 0.634 0.772
As: 0.228 0.863 0.366
As: 0.366 0.228 0.863
As: 0.366 0.503 0.137
As: 0.497 0.863 0.634
As: 0.503 0.137 0.366
As: 0.634 0.497 0.863
As: 0.634 0.772 0.137
As: 0.772 0.137 0.634
As: 0.863 0.366 0.228
As: 0.863 0.634 0.497

The 10 most intense peaks (15 to 90 degrees two-theta), low angle first:
| Position (°2θ) | d/Å | Rel. int. |
| --- | --- | --- |
| 27.41 | 3.254 | 505 |
| 30.72 | 2.911 | 1000 |
| 33.73 | 2.657 | 111 |
| 36.53 | 2.460 | 307 |
| 44.00 | 2.058 | 571 |
| 48.45 | 1.879 | 375 |
| 50.57 | 1.805 | 577 |
| 63.97 | 1.455 | 146 |
| 70.94 | 1.329 | 197 |
| 74.31 | 1.276 | 112 |

---

Entry 2:
Diffraction record for NpUTlO6. The powder XRD pattern is simulated, not measured: it uses DFT lattice parameters and positions (PBE) and Cu Kα, 1.54184 Å.

Lattice parameters (Å, degrees): 7.934 7.934 7.934 120.30 119.80 89.91
Fractional coordinates of all 18 atoms:
Np: 0.500 0.000 0.000
Np: 0.500 0.500 0.500
U: 0.000 0.000 0.000
U: 0.500 0.000 0.500
Tl: 0.062 0.312 0.750
Tl: 0.938 0.688 0.250
O: 0.178 0.928 0.250
O: 0.184 0.312 0.244
O: 0.184 0.940 0.872
O: 0.432 0.060 0.744
O: 0.432 0.688 0.372
O: 0.439 0.689 0.750
O: 0.561 0.311 0.250
O: 0.568 0.312 0.628
O: 0.568 0.940 0.256
O: 0.816 0.060 0.128
O: 0.816 0.688 0.756
O: 0.822 0.072 0.750

The 10 most intense peaks (15 to 90 degrees two-theta), low angle first:
| Position (°2θ) | d/Å | Rel. int. |
| --- | --- | --- |
| 26.33 | 3.385 | 1000 |
| 26.42 | 3.374 | 912 |
| 27.47 | 3.246 | 852 |
| 27.61 | 3.230 | 228 |
| 41.79 | 2.161 | 319 |
| 41.94 | 2.154 | 279 |
| 45.74 | 1.984 | 290 |
| 47.92 | 1.899 | 326 |
| 54.20 | 1.692 | 245 |
| 54.38 | 1.687 | 268 |

---

Entry 3:
Diffraction record for Sr3ZrTi2O9. The powder XRD pattern is simulated, not measured: it uses DFT lattice parameters and positions (PBE) and Cu Kα, 1.54184 Å.

Lattice parameters (Å, degrees): 5.694 5.694 12.646 102.80 102.80 90.77
Fractional coordinates of all 30 atoms:
Sr: 0.079 0.580 0.660
Sr: 0.248 0.752 0.000
Sr: 0.420 0.921 0.340
Sr: 0.580 0.079 0.660
Sr: 0.752 0.248 0.000
Sr: 0.921 0.420 0.340
Zr: 0.334 0.334 0.166
Zr: 0.666 0.666 0.834
Ti: 0.000 0.000 0.500
Ti: 0.165 0.165 0.828
Ti: 0.500 0.500 0.500
Ti: 0.835 0.835 0.172
O: 0.045 0.045 0.663
O: 0.063 0.063 0.141
O: 0.078 0.594 0.169
O: 0.250 0.750 0.500
O: 0.261 0.261 0.523
O: 0.290 0.290 0.994
O: 0.382 0.382 0.341
O: 0.392 0.392 0.801
O: 0.406 0.922 0.831
O: 0.594 0.078 0.169
O: 0.608 0.608 0.199
O: 0.618 0.618 0.659
O: 0.710 0.710 0.006
O: 0.739 0.739 0.477
O: 0.750 0.250 0.500
O: 0.922 0.406 0.831
O: 0.937 0.937 0.859
O: 0.955 0.955 0.337

The 10 most intense peaks (15 to 90 degrees two-theta), low angle first:
| Position (°2θ) | d/Å | Rel. int. |
| --- | --- | --- |
| 31.42 | 2.847 | 1000 |
| 31.64 | 2.828 | 537 |
| 38.83 | 2.319 | 158 |
| 44.72 | 2.027 | 205 |
| 45.35 | 2.000 | 360 |
| 55.81 | 1.647 | 209 |
| 56.21 | 1.636 | 412 |
| 65.58 | 1.423 | 216 |
| 66.07 | 1.414 | 98 |
| 83.33 | 1.160 | 98 |

---

Entry 4:
Diffraction record for Tm2NpFe2. The powder XRD pattern is simulated, not measured: it uses DFT lattice parameters and positions (PBE) and Cu Kα, 1.54184 Å.

Lattice parameters (Å, degrees): 5.557 5.557 7.390 98.58 98.58 61.59
Fractional coordinates of all 10 atoms:
Tm: 0.036 0.267 0.151
Tm: 0.267 0.036 0.651
Tm: 0.733 0.964 0.349
Tm: 0.964 0.733 0.849
Np: 0.382 0.618 0.250
Np: 0.618 0.382 0.750
Fe: 0.263 0.498 0.488
Fe: 0.498 0.263 0.988
Fe: 0.502 0.737 0.012
Fe: 0.737 0.502 0.512

The 10 most intense peaks (15 to 90 degrees two-theta), low angle first:
| Position (°2θ) | d/Å | Rel. int. |
| --- | --- | --- |
| 29.29 | 3.049 | 332 |
| 32.62 | 2.745 | 535 |
| 33.08 | 2.708 | 368 |
| 33.66 | 2.663 | 500 |
| 33.83 | 2.650 | 1000 |
| 36.70 | 2.449 | 380 |
| 37.93 | 2.372 | 434 |
| 40.06 | 2.251 | 878 |
| 52.05 | 1.757 | 273 |
| 59.45 | 1.555 | 367 |

---

Entry 5:
Diffraction record for YBe. The powder XRD pattern is simulated, not measured: it uses DFT lattice parameters and positions (PBE) and Cu Kα, 1.54184 Å.

Lattice parameters (Å, degrees): 3.420 3.420 3.420 90.00 90.00 90.00
Fractional coordinates of all 2 atoms:
Y: 0.000 0.000 0.000
Be: 0.500 0.500 0.500

The 8 most intense peaks (15 to 90 degrees two-theta), low angle first:
| Position (°2θ) | d/Å | Rel. int. |
| --- | --- | --- |
| 26.05 | 3.420 | 986 |
| 37.18 | 2.418 | 1000 |
| 45.96 | 1.975 | 277 |
| 53.59 | 1.710 | 168 |
| 60.54 | 1.529 | 356 |
| 67.03 | 1.396 | 336 |
| 79.22 | 1.209 | 104 |
| 85.10 | 1.140 | 165 |

---

Entry 6:
Diffraction record for Zr3S2Cl4. The powder XRD pattern is simulated, not measured: it uses DFT lattice parameters and positions (PBE) and Cu Kα, 1.54184 Å.

Lattice parameters (Å, degrees): 3.486 3.486 25.406 90.00 90.00 120.00
Fractional coordinates of all 9 atoms:
Zr: 0.000 0.000 0.000
Zr: 0.333 0.667 0.269
Zr: 0.333 0.667 0.731
S: 0.333 0.667 0.063
S: 0.333 0.667 0.937
Cl: 0.000 0.000 0.203
Cl: 0.000 0.000 0.336
Cl: 0.000 0.000 0.664
Cl: 0.000 0.000 0.797

The 10 most intense peaks (15 to 90 degrees two-theta), low angle first:
| Position (°2θ) | d/Å | Rel. int. |
| --- | --- | --- |
| 29.59 | 3.019 | 551 |
| 30.43 | 2.937 | 296 |
| 32.85 | 2.727 | 273 |
| 34.56 | 2.595 | 636 |
| 36.56 | 2.458 | 1000 |
| 43.91 | 2.062 | 777 |
| 46.73 | 1.944 | 183 |
| 52.50 | 1.743 | 391 |
| 54.60 | 1.681 | 185 |
| 78.79 | 1.215 | 212 |

---

Entry 7:
Diffraction record for NdCuPd. The powder XRD pattern is simulated, not measured: it uses DFT lattice parameters and positions (PBE) and Cu Kα, 1.54184 Å.

Lattice parameters (Å, degrees): 10.408 4.445 7.129 90.00 132.11 90.00
Fractional coordinates of all 12 atoms:
Nd: 0.041 0.000 0.292
Nd: 0.459 0.500 0.708
Nd: 0.541 0.500 0.292
Nd: 0.959 0.000 0.708
Cu: 0.155 0.500 0.104
Cu: 0.345 0.000 0.896
Cu: 0.655 0.000 0.104
Cu: 0.845 0.500 0.896
Pd: 0.173 0.500 0.721
Pd: 0.327 0.000 0.279
Pd: 0.673 0.000 0.721
Pd: 0.827 0.500 0.279

The 10 most intense peaks (15 to 90 degrees two-theta), low angle first:
| Position (°2θ) | d/Å | Rel. int. |
| --- | --- | --- |
| 33.03 | 2.712 | 319 |
| 33.90 | 2.644 | 273 |
| 34.11 | 2.629 | 458 |
| 34.45 | 2.604 | 656 |
| 34.58 | 2.594 | 209 |
| 39.92 | 2.259 | 110 |
| 40.53 | 2.226 | 1000 |
| 53.88 | 1.702 | 145 |
| 54.36 | 1.688 | 112 |
| 65.14 | 1.432 | 114 |

---

Entry 8:
Diffraction record for MgTl2Cd2Hg7. The powder XRD pattern is simulated, not measured: it uses DFT lattice parameters and positions (PBE) and Cu Kα, 1.54184 Å.

Lattice parameters (Å, degrees): 4.458 4.458 16.051 94.55 94.55 88.83
Fractional coordinates of all 12 atoms:
Mg: 0.000 0.000 0.000
Tl: 0.115 0.115 0.334
Tl: 0.885 0.885 0.666
Cd: 0.406 0.406 0.715
Cd: 0.594 0.594 0.285
Hg: 0.053 0.554 0.147
Hg: 0.274 0.274 0.530
Hg: 0.446 0.947 0.853
Hg: 0.500 0.500 0.000
Hg: 0.554 0.053 0.147
Hg: 0.726 0.726 0.470
Hg: 0.947 0.446 0.853

The 10 most intense peaks (15 to 90 degrees two-theta), low angle first:
| Position (°2θ) | d/Å | Rel. int. |
| --- | --- | --- |
| 29.17 | 3.061 | 792 |
| 31.27 | 2.861 | 634 |
| 33.29 | 2.692 | 808 |
| 33.71 | 2.659 | 369 |
| 34.16 | 2.625 | 283 |
| 34.56 | 2.596 | 445 |
| 36.57 | 2.457 | 431 |
| 40.56 | 2.224 | 1000 |
| 55.47 | 1.657 | 265 |
| 68.68 | 1.367 | 207 |

---

Question: Which formula does entry 1 have?
Answer: RbAg4As12